# 1
The following is a theoretical powder XRD pattern of AgH6C4N2O2. It was derived from a structure optimized by DFT (PBE), using CuKα.
Lines closer than 0.1° are merged.

Atomic structure:
Unit cell a=6.387 b=6.702 c=12.244 alpha=90.00 beta=93.25 gamma=90.00
Space group P2/c (No. 13)
Inequivalent atoms, fractional coordinates:
Ag 0.000 0.000 0.000
Ag 0.500 0.309 0.250
H 0.008 0.288 0.324
H 0.141 0.021 0.750
H 0.173 0.462 0.580
H 0.209 0.462 0.921
H 0.316 0.269 0.652
H 0.336 0.269 0.849
C 0.000 0.115 0.750
C 0.000 0.382 0.250
C 0.178 0.366 0.652
C 0.198 0.365 0.849
C 0.492 0.073 0.450
N 0.010 0.238 0.850
N 0.192 0.494 0.750
O 0.316 0.151 0.424
O 0.341 0.106 0.099

Most intense lines, 2θ = 10–90°, low angle first:
hkl 0 1 1, 15.08 deg, d = 5.877 Å, rel. 18
hkl 1 0 -2, 19.54 deg, d = 4.543 Å, rel. 17
hkl 0 1 2, 19.66 deg, d = 4.516 Å, rel. 100
hkl 1 1 -1, 20.27 deg, d = 4.381 Å, rel. 38
hkl 1 0 2, 20.69 deg, d = 4.292 Å, rel. 16
hkl 1 1 1, 20.83 deg, d = 4.264 Å, rel. 43
hkl 2 0 0, 27.99 deg, d = 3.188 Å, rel. 17
hkl 1 2 0, 30.13 deg, d = 2.966 Å, rel. 19
hkl 0 2 2, 30.42 deg, d = 2.938 Å, rel. 23
hkl 0 2 3, 34.66 deg, d = 2.588 Å, rel. 16
hkl 0 1 5, 39.23 deg, d = 2.297 Å, rel. 16
hkl 1 2 -4, 41.88 deg, d = 2.157 Å, rel. 15

# 2
The following is a theoretical powder XRD pattern of NdGa2CuPd. It was derived from a structure optimized by DFT (PBE), using CuKα.
Lines closer than 0.1° are merged.

Atomic structure:
Unit cell a=4.252 b=4.252 c=10.304 alpha=90.00 beta=90.00 gamma=90.00
Space group P4/nmm (No. 129, origin choice 2)
Inequivalent atoms, fractional coordinates:
Nd 0.250 0.250 0.244
Ga 0.250 0.250 0.638
Ga 0.250 0.750 0.000
Cu 0.250 0.250 0.873
Pd 0.250 0.750 0.500

Most intense lines, 2θ = 10–90°, low angle first:
hkl 1 0 3, 33.54 deg, d = 2.672 Å, rel. 49
hkl 1 1 2, 34.54 deg, d = 2.597 Å, rel. 100
hkl 2 0 0, 42.52 deg, d = 2.126 Å, rel. 53
hkl 1 1 4, 46.42 deg, d = 1.956 Å, rel. 12
hkl 1 0 5, 49.13 deg, d = 1.854 Å, rel. 22
hkl 2 1 3, 55.22 deg, d = 1.664 Å, rel. 23
hkl 2 0 4, 56.09 deg, d = 1.640 Å, rel. 8
hkl 2 2 0, 61.71 deg, d = 1.503 Å, rel. 17
hkl 1 1 6, 62.26 deg, d = 1.491 Å, rel. 13
hkl 2 1 5, 66.96 deg, d = 1.397 Å, rel. 17
hkl 3 1 2, 72.68 deg, d = 1.301 Å, rel. 22
hkl 2 0 8, 88.83 deg, d = 1.102 Å, rel. 11

# 3
The following is a theoretical powder XRD pattern of Na4CuAs2Pt. It was derived from a structure optimized by DFT (PBE), using CuKα.
Lines closer than 0.1° are merged.

Atomic structure:
Unit cell a=7.076 b=8.874 c=5.346 alpha=90.00 beta=91.21 gamma=90.00
Space group C2/m (No. 12)
Inequivalent atoms, fractional coordinates:
Na 0.153 0.178 0.256
Cu 0.000 0.500 0.000
As 0.217 0.000 0.757
Pt 0.000 0.500 0.500

Most intense lines, 2θ = 10–90°, low angle first:
hkl 1 1 0, 16.02 deg, d = 5.532 Å, rel. 100
hkl 0 2 0, 20.01 deg, d = 4.437 Å, rel. 93
hkl 1 1 1, 23.33 deg, d = 3.812 Å, rel. 58
hkl 1 3 0, 32.82 deg, d = 2.729 Å, rel. 35
hkl 2 2 -1, 36.32 deg, d = 2.473 Å, rel. 20
hkl 1 3 1, 37.11 deg, d = 2.422 Å, rel. 73
hkl 1 1 2, 37.62 deg, d = 2.391 Å, rel. 27
hkl 3 1 0, 39.54 deg, d = 2.279 Å, rel. 40
hkl 2 0 -2, 41.94 deg, d = 2.154 Å, rel. 20
hkl 2 0 2, 42.83 deg, d = 2.111 Å, rel. 34
hkl 2 2 -2, 46.88 deg, d = 1.938 Å, rel. 23
hkl 2 2 2, 47.71 deg, d = 1.906 Å, rel. 22